Diffraction record for Rb2TlHgCl6. The powder X-ray diffraction pattern is simulated, not measured: it uses a crystal structure in the Materials Project, relaxed with PBE and a wavelength of 1.5418 Å.
No peak broadening, texture or thermal motion is included.

Structure:
```
Rb2TlHgCl6
1.0
0.000 5.454 5.454
5.454 0.000 5.454
5.454 5.454 0.000
Rb Tl Hg Cl
2 1 1 6
direct
0.250 0.250 0.250
0.750 0.750 0.750
0.000 0.000 0.000
0.500 0.500 0.500
0.254 0.254 0.746
0.254 0.746 0.254
0.254 0.746 0.746
0.746 0.254 0.254
0.746 0.254 0.746
0.746 0.746 0.254
```

Most intense lines, 2θ from 10° to 80°, in order of falling intensity:
2theta  d (Å)  I_rel
23.06  3.856  100
32.84  2.727  52
40.52  2.227  48
16.25  5.454  41
47.13  1.928  36
63.86  1.458  26
53.10  1.725  22
36.85  2.439  22
78.42  1.220  16
73.70  1.285  13

***

Diffraction record for Eu3Ho. The powder X-ray diffraction pattern is simulated, not measured: it uses a crystal structure in the Materials Project, relaxed with PBE and a wavelength of 1.5418 Å.
No peak broadening, texture or thermal motion is included.

Structure:
```
Eu3Ho
1.0
7.642 0.000 0.000
-3.821 6.618 0.000
0.000 0.000 6.120
Eu Ho
6 2
direct
0.170 0.340 0.250
0.170 0.830 0.250
0.340 0.170 0.750
0.660 0.830 0.250
0.830 0.170 0.750
0.830 0.660 0.750
0.333 0.667 0.750
0.667 0.333 0.250
```

Most intense lines, 2θ from 10° to 80°, in order of falling intensity:
2theta  d (Å)  I_rel
30.72  2.911  100
29.18  3.060  25
56.81  1.621  23
26.94  3.309  23
52.71  1.737  22
47.60  1.911  20
57.72  1.597  17
40.14  2.247  16
77.97  1.225  14
73.73  1.285  8

***

Diffraction record for Sr6Al7ClO16. The powder X-ray diffraction pattern is simulated, not measured: it uses a crystal structure in the Materials Project, relaxed with PBE and a wavelength of 1.5418 Å.
No peak broadening, texture or thermal motion is included.

Structure:
```
Sr6Al7ClO16
1.0
-6.233 6.233 6.241
6.233 -6.233 6.241
6.233 6.233 -6.241
Sr Al Cl O
12 14 2 32
direct
0.012 0.625 0.887
0.230 0.230 0.000
0.265 0.125 0.640
0.375 0.262 0.387
0.375 0.735 0.860
0.485 0.625 0.360
0.520 0.020 0.500
0.738 0.125 0.113
0.770 0.770 0.000
0.875 0.515 0.140
0.875 0.988 0.613
0.980 0.480 0.500
0.001 0.125 0.376
0.093 0.375 0.250
0.125 0.343 0.750
0.125 0.843 0.750
0.157 0.907 0.282
0.250 0.750 0.500
0.375 0.999 0.124
0.500 0.500 0.000
0.593 0.375 0.250
0.625 0.875 0.218
0.625 0.875 0.718
0.657 0.407 0.782
0.749 0.625 0.624
0.875 0.251 0.876
0.000 0.000 0.000
0.750 0.250 0.500
0.017 0.273 0.334
0.023 0.267 0.834
0.049 0.183 0.568
0.117 0.559 0.352
0.127 0.003 0.744
0.132 0.509 0.756
0.135 0.067 0.366
0.207 0.765 0.648
0.230 0.865 0.932
0.235 0.883 0.442
0.259 0.382 0.256
0.309 0.367 0.852
0.316 0.983 0.256
0.434 0.190 0.166
0.441 0.793 0.558
0.491 0.247 0.624
0.515 0.457 0.148
0.520 0.951 0.134
0.543 0.691 0.058
0.615 0.480 0.432
0.618 0.873 0.876
0.623 0.868 0.376
0.633 0.485 0.942
0.701 0.770 0.634
0.727 0.060 0.744
0.733 0.566 0.756
0.753 0.377 0.244
0.810 0.977 0.244
0.817 0.385 0.866
0.933 0.299 0.068
0.940 0.684 0.666
0.997 0.741 0.124
```

Most intense lines, 2θ from 10° to 80°, in order of falling intensity:
2theta  d (Å)  I_rel
32.10  2.789  100
17.42  5.091  63
26.75  3.333  28
39.58  2.277  28
35.26  2.546  28
52.95  1.729  26
28.63  3.117  23
44.80  2.023  23
55.11  1.666  22
50.72  1.800  16